1.
The following is a theoretical powder XRD pattern of Hg5AsI2. It was derived from a crystal structure in Alexandria, relaxed with PBE, using CuKα.

Top 10 peaks for 5° ≤ 2θ ≤ 70°, by angle:
Position (°2θ)	I/Imax
12.4	20
17.0	36
25.0	100
26.6	21
30.1	31
30.4	35
33.7	19
34.4	31
34.7	26
35.1	40

Crystal structure
a b c (Å): 6.640 6.749 7.760
angles (deg): 69.98 70.55 65.07
Fractional coordinates of all 8 atoms:
Hg 0.000 0.000 0.000
Hg 0.025 0.619 0.902
Hg 0.484 0.521 0.437
Hg 0.586 0.990 0.887
Hg 0.871 0.419 0.557
As 0.206 0.282 0.740
I 0.020 0.921 0.400
I 0.496 0.427 0.077

2.
The following is a theoretical powder XRD pattern of HoPI. It was derived from a crystal structure in Alexandria, relaxed with PBE, using CuKα.

Top 10 peaks for 5° ≤ 2θ ≤ 70°, by angle:
Position (°2θ)	I/Imax
7.9	100
19.8	35
22.3	87
28.0	50
30.2	45
30.9	45
37.2	27
38.1	24
39.7	19
45.6	26

Crystal structure
a b c (Å): 3.977 4.981 11.525
angles (deg): 77.67 80.92 67.64
Fractional coordinates of all 6 atoms:
Ho 0.172 0.299 0.373
Ho 0.828 0.701 0.627
P 0.485 0.689 0.428
P 0.515 0.311 0.572
I 0.204 0.795 0.820
I 0.796 0.205 0.180

3.
The following is a theoretical powder XRD pattern of MgNbCu. It was derived from a crystal structure in Alexandria, relaxed with PBE, using CuKα.

Top 10 peaks for 5° ≤ 2θ ≤ 70°, by angle:
Position (°2θ)	I/Imax
14.9	38
30.0	4
31.9	16
38.5	100
44.3	34
45.7	14
47.0	8
49.6	11
64.5	11
65.6	18

Crystal structure
a b c (Å): 6.296 6.296 6.296
angles (deg): 153.47 153.47 37.87
Fractional coordinates of all 3 atoms:
Mg 0.000 0.000 0.000
Nb 0.306 0.306 0.000
Cu 0.653 0.653 0.000

4.
The following is a theoretical powder XRD pattern of Ce3Cu2Ir7. It was derived from a crystal structure in Alexandria, relaxed with PBE, using CuKα.

Top 10 peaks for 5° ≤ 2θ ≤ 70°, by angle:
Position (°2θ)	I/Imax
19.4	20
21.0	23
31.2	22
34.2	38
38.9	59
39.4	33
39.7	100
42.7	87
46.4	25
63.9	25

Crystal structure
a b c (Å): 9.024 9.024 9.024
angles (deg): 34.64 34.64 34.64
Fractional coordinates of all 12 atoms:
Ce 0.000 0.000 0.000
Ce 0.139 0.139 0.139
Ce 0.861 0.861 0.861
Cu 0.334 0.334 0.334
Cu 0.666 0.666 0.666
Ir 0.077 0.585 0.585
Ir 0.415 0.415 0.923
Ir 0.415 0.923 0.415
Ir 0.500 0.500 0.500
Ir 0.585 0.077 0.585
Ir 0.585 0.585 0.077
Ir 0.923 0.415 0.415

5.
The following is a theoretical powder XRD pattern of Li3Mg2Pd4. It was derived from a crystal structure in Alexandria, relaxed with PBE, using CuKα.

Top 10 peaks for 5° ≤ 2θ ≤ 70°, by angle:
Position (°2θ)	I/Imax
10.7	15
23.6	10
26.0	100
32.1	52
40.5	94
41.5	85
49.6	17
53.4	12
59.4	20
66.7	13

Crystal structure
a b c (Å): 4.350 4.350 8.297
angles (deg): 90.09 90.09 59.95
Fractional coordinates of all 9 atoms:
Li 0.000 0.000 0.000
Li 0.334 0.334 0.437
Li 0.666 0.666 0.563
Mg 0.333 0.333 0.784
Mg 0.667 0.667 0.216
Pd 0.001 0.001 0.333
Pd 0.334 0.334 0.108
Pd 0.666 0.666 0.892
Pd 0.999 0.999 0.667

6.
The following is a theoretical powder XRD pattern of MnAs2Cl. It was derived from a crystal structure in Alexandria, relaxed with PBE, using CuKα.

Top 10 peaks for 5° ≤ 2θ ≤ 70°, by angle:
Position (°2θ)	I/Imax
12.1	100
22.5	35
26.6	25
33.6	34
34.4	36
35.7	41
39.4	12
45.6	28
50.6	12
52.8	11

Crystal structure
a b c (Å): 4.247 3.469 7.431
angles (deg): 90.00 100.95 90.00
Fractional coordinates of all 4 atoms:
Mn 0.000 0.000 0.000
As 0.541 0.500 0.817
As 0.797 0.000 0.663
Cl 0.164 0.500 0.220

7.
The following is a theoretical powder XRD pattern of ZrIn2Cl2F4. It was derived from a crystal structure in Alexandria, relaxed with PBE, using CuKα.

Top 10 peaks for 5° ≤ 2θ ≤ 70°, by angle:
Position (°2θ)	I/Imax
22.3	33
22.7	100
23.5	67
25.3	59
29.6	37
30.9	65
31.3	24
37.4	33
37.6	27
43.6	27

Crystal structure
a b c (Å): 7.189 7.189 5.426
angles (deg): 94.38 94.38 49.62
Fractional coordinates of all 9 atoms:
Zr 0.000 0.000 0.000
In 0.357 0.357 0.434
In 0.643 0.643 0.566
Cl 0.177 0.177 0.848
Cl 0.823 0.823 0.152
F 0.199 0.715 0.751
F 0.285 0.801 0.249
F 0.715 0.199 0.751
F 0.801 0.285 0.249

8.
The following is a theoretical powder XRD pattern of RbCd9Pd2. It was derived from a crystal structure in Alexandria, relaxed with PBE, using CuKα.

Top 10 peaks for 5° ≤ 2θ ≤ 70°, by angle:
Position (°2θ)	I/Imax
13.6	24
29.3	18
33.0	64
33.5	56
35.4	27
38.0	25
38.6	31
39.4	100
41.0	44
59.6	21

Crystal structure
a b c (Å): 9.304 9.304 9.304
angles (deg): 100.06 100.06 130.58
Fractional coordinates of all 24 atoms:
Rb 0.375 0.625 0.750
Rb 0.625 0.375 0.250
Cd 0.125 0.875 0.250
Cd 0.144 0.568 0.332
Cd 0.144 0.812 0.576
Cd 0.188 0.264 0.332
Cd 0.188 0.856 0.924
Cd 0.264 0.188 0.832
Cd 0.264 0.432 0.076
Cd 0.432 0.264 0.576
Cd 0.432 0.856 0.168
Cd 0.568 0.144 0.832
Cd 0.568 0.736 0.424
Cd 0.736 0.568 0.924
Cd 0.736 0.812 0.168
Cd 0.812 0.144 0.076
Cd 0.812 0.736 0.668
Cd 0.856 0.188 0.424
Cd 0.856 0.432 0.668
Cd 0.875 0.125 0.750
Pd 0.000 0.000 0.000
Pd 0.000 0.000 0.500
Pd 0.000 0.500 0.000
Pd 0.500 0.000 0.500

9.
The following is a theoretical powder XRD pattern of OsBr2Cl6. It was derived from a crystal structure in Alexandria, relaxed with PBE, using CuKα.

Top 10 peaks for 5° ≤ 2θ ≤ 70°, by angle:
Position (°2θ)	I/Imax
13.9	45
14.3	100
15.1	97
19.1	28
20.2	36
22.5	22
26.2	40
26.7	29
40.8	22
45.7	22

Crystal structure
a b c (Å): 7.617 9.274 10.836
angles (deg): 90.00 125.80 90.00
Fractional coordinates of all 18 atoms:
Os 0.000 0.000 0.000
Os 0.000 0.500 0.500
Br 0.164 0.110 0.415
Br 0.164 0.390 0.915
Br 0.836 0.610 0.085
Br 0.836 0.890 0.585
Cl 0.154 0.577 0.752
Cl 0.154 0.923 0.252
Cl 0.183 0.222 0.097
Cl 0.183 0.278 0.597
Cl 0.291 0.592 0.517
Cl 0.291 0.908 0.017
Cl 0.709 0.092 0.983
Cl 0.709 0.408 0.483
Cl 0.817 0.722 0.403
Cl 0.817 0.778 0.903
Cl 0.846 0.077 0.748
Cl 0.846 0.423 0.248

10.
The following is a theoretical powder XRD pattern of Dy5Tm2In2. It was derived from a crystal structure in Alexandria, relaxed with PBE, using CuKα.

Top 10 peaks for 5° ≤ 2θ ≤ 70°, by angle:
Position (°2θ)	I/Imax
28.6	88
31.1	41
31.7	100
33.4	77
34.8	59
35.4	23
52.1	23
54.1	33
60.5	22
60.9	22

Crystal structure
a b c (Å): 10.926 10.926 10.926
angles (deg): 59.64 135.39 142.51
Fractional coordinates of all 18 atoms:
Dy 0.225 0.109 0.334
Dy 0.225 0.391 0.616
Dy 0.259 0.674 0.907
Dy 0.259 0.851 0.084
Dy 0.709 0.504 0.705
Dy 0.767 0.174 0.916
Dy 0.767 0.351 0.093
Dy 0.775 0.609 0.384
Dy 0.775 0.891 0.666
Dy 0.799 0.004 0.295
Tm 0.197 0.010 0.687
Tm 0.289 0.289 0.000
Tm 0.289 0.789 0.500
Tm 0.322 0.510 0.313
In 0.630 0.217 0.328
In 0.630 0.802 0.913
In 0.889 0.302 0.672
In 0.889 0.717 0.087

11.
The following is a theoretical powder XRD pattern of LiPm2Ag3. It was derived from a crystal structure in Alexandria, relaxed with PBE, using CuKα.

Top 10 peaks for 5° ≤ 2θ ≤ 70°, by angle:
Position (°2θ)	I/Imax
21.1	18
21.7	10
29.6	9
34.8	100
35.5	86
41.3	11
50.5	30
62.3	18
62.8	31
64.1	14

Crystal structure
a b c (Å): 5.162 5.162 12.288
angles (deg): 90.00 90.00 120.00
Fractional coordinates of all 12 atoms:
Li 0.333 0.667 0.168
Li 0.667 0.333 0.832
Pm 0.000 0.000 0.000
Pm 0.000 0.000 0.500
Pm 0.333 0.667 0.685
Pm 0.667 0.333 0.315
Ag 0.000 0.000 0.250
Ag 0.000 0.000 0.750
Ag 0.333 0.667 0.411
Ag 0.333 0.667 0.938
Ag 0.667 0.333 0.062
Ag 0.667 0.333 0.589

12.
The following is a theoretical powder XRD pattern of Tb10Pr4Dy. It was derived from a crystal structure in Alexandria, relaxed with PBE, using CuKα.

Top 10 peaks for 5° ≤ 2θ ≤ 70°, by angle:
Position (°2θ)	I/Imax
26.8	82
28.5	76
28.8	100
32.5	80
33.4	86
34.0	41
38.6	24
41.1	31
41.9	31
44.7	36

Crystal structure
a b c (Å): 8.740 8.740 8.740
angles (deg): 111.65 111.65 105.19
Fractional coordinates of all 15 atoms:
Tb 0.048 0.371 0.095
Tb 0.048 0.952 0.323
Tb 0.250 0.750 0.500
Tb 0.275 0.952 0.905
Tb 0.371 0.275 0.323
Tb 0.629 0.725 0.677
Tb 0.725 0.048 0.095
Tb 0.750 0.250 0.500
Tb 0.952 0.048 0.677
Tb 0.952 0.629 0.905
Pr 0.168 0.435 0.603
Pr 0.435 0.832 0.267
Pr 0.565 0.168 0.733
Pr 0.832 0.565 0.397
Dy 0.500 0.500 0.000

13.
The following is a theoretical powder XRD pattern of CsRb2PbBr5. It was derived from a crystal structure in Alexandria, relaxed with PBE, using CuKα.

Top 10 peaks for 5° ≤ 2θ ≤ 70°, by angle:
Position (°2θ)	I/Imax
10.5	39
11.9	43
21.4	100
26.9	26
30.3	81
30.6	65
30.9	34
37.5	24
43.6	77
54.3	25

Crystal structure
a b c (Å): 9.818 9.818 9.818
angles (deg): 145.40 130.02 62.21
Fractional coordinates of all 9 atoms:
Cs 0.000 0.000 0.000
Rb 0.295 0.795 0.500
Rb 0.705 0.205 0.500
Pb 0.500 0.500 0.000
Br 0.117 0.368 0.750
Br 0.382 0.632 0.750
Br 0.500 0.000 0.500
Br 0.618 0.368 0.250
Br 0.883 0.632 0.250